Entry 1:
Starting from DFT lattice parameters and positions (GGA-PBE), the XRD peak list of YPuU2As4 was computed for copper Kα.

Atomic structure:
Unit cell a=7.1011 b=4.0753 c=7.1551 alpha=90.00 beta=109.05 gamma=90.00
Fractional coordinates of all 8 atoms:
Y1 0.0000 0.0000 0.0000
Pu1 0.0000 0.5000 0.5000
U1 0.5000 0.0000 0.5000
U2 0.5000 0.5000 0.0000
As1 0.2545 0.0000 0.7518
As2 0.2545 0.5000 0.2504
As3 0.7455 0.5000 0.7496
As4 0.7455 0.0000 0.2482

Peak list (10 most intense, 2θ = 10–80°, in order of rising 2θ)
26.7 deg, I 17; 30.8 deg, I 100; 43.8 deg, I 13; 44.0 deg, I 25; 44.3 deg, I 25; 44.5 deg, I 12; 55.1 deg, I 13; 64.2 deg, I 13; 72.7 deg, I 12; 73.1 deg, I 12

---

Entry 2:
Starting from DFT lattice parameters and positions (GGA-PBE), the XRD peak list of YPu3U4As8 was computed for copper Kα.

Atomic structure:
Unit cell a=8.1612 b=8.1612 c=8.2735 alpha=119.50 beta=119.50 gamma=60.00
Fractional coordinates of all 16 atoms:
Y1 0.0000 0.0000 0.0000
Pu1 0.0000 0.5000 0.0000
Pu2 0.5000 0.0000 0.0000
Pu3 0.5000 0.5000 0.0000
U1 0.0000 0.0000 0.5000
U2 0.0000 0.5000 0.5000
U3 0.5000 0.0000 0.5000
U4 0.5000 0.5000 0.5000
As1 0.2481 0.2481 0.7457
As2 0.2480 0.7492 0.7456
As3 0.2514 0.2514 0.2539
As4 0.2508 0.7520 0.2544
As5 0.7492 0.2480 0.7456
As6 0.7486 0.7486 0.7461
As7 0.7520 0.2508 0.2544
As8 0.7519 0.7519 0.2543

Peak list (10 most intense, 2θ = 10–80°, in order of rising 2θ)
26.2 deg, I 11; 26.7 deg, I 30; 30.8 deg, I 100; 43.8 deg, I 39; 44.4 deg, I 37; 52.3 deg, I 10; 55.0 deg, I 20; 64.1 deg, I 13; 72.3 deg, I 18; 73.3 deg, I 17

---

Entry 3:
Starting from DFT lattice parameters and positions (GGA-PBE), the XRD peak list of Pu3ZrU4As8 was computed for copper Kα.

Atomic structure:
Unit cell a=8.1087 b=8.1087 c=8.1810 alpha=119.83 beta=119.83 gamma=59.90
Fractional coordinates of all 16 atoms:
Pu1 0.0000 0.0000 0.0000
Pu2 0.0000 0.5000 0.0000
Pu3 0.5000 0.0000 0.0000
Zr1 0.5000 0.5000 0.0000
U1 0.0000 0.0000 0.5000
U2 0.0000 0.5000 0.5000
U3 0.5000 0.0000 0.5000
U4 0.5000 0.5000 0.5000
As1 0.2511 0.2511 0.2531
As2 0.2544 0.7430 0.7520
As3 0.2547 0.2547 0.7521
As4 0.2570 0.7456 0.2480
As5 0.7430 0.2544 0.7520
As6 0.7453 0.7453 0.2479
As7 0.7456 0.2570 0.2480
As8 0.7489 0.7489 0.7469

Peak list (10 most intense, 2θ = 10–80°, in order of rising 2θ)
26.6 deg, I 10; 26.9 deg, I 31; 31.1 deg, I 100; 44.3 deg, I 38; 44.7 deg, I 37; 52.8 deg, I 7; 55.5 deg, I 13; 64.8 deg, I 13; 73.4 deg, I 12; 73.9 deg, I 12

---

Entry 4:
Starting from DFT lattice parameters and positions (GGA-PBE), the XRD peak list of PuAs2W was computed for copper Kα.

Atomic structure:
Unit cell a=9.8260 b=9.8260 c=9.8260 alpha=18.67 beta=18.67 gamma=18.67
Fractional coordinates of all 4 atoms:
Pu1 0.0000 0.0000 0.0000
As1 0.1037 0.1037 0.1037
As2 0.8963 0.8963 0.8963
W1 0.5000 0.5000 0.5000

Peak list (10 most intense, 2θ = 10–80°, in order of rising 2θ)
18.4 deg, I 60; 32.6 deg, I 15; 33.0 deg, I 100; 34.8 deg, I 33; 37.3 deg, I 21; 41.1 deg, I 64; 45.4 deg, I 64; 57.8 deg, I 32; 61.2 deg, I 25; 70.8 deg, I 19

---

Entry 5:
Starting from DFT lattice parameters and positions (GGA-PBE), the XRD peak list of Y3PuAs4 was computed for copper Kα.

Atomic structure:
Unit cell a=5.8346 b=5.8346 c=5.8346 alpha=90.00 beta=90.00 gamma=90.00
Fractional coordinates of all 8 atoms:
Y1 0.0000 0.0000 0.5000
Y2 0.0000 0.5000 0.0000
Y3 0.5000 0.0000 0.0000
Pu1 0.5000 0.5000 0.5000
As1 0.0000 0.0000 0.0000
As2 0.0000 0.5000 0.5000
As3 0.5000 0.0000 0.5000
As4 0.5000 0.5000 0.0000

Peak list (10 most intense, 2θ = 10–80°, in order of rising 2θ)
15.2 deg, I 15; 21.5 deg, I 14; 26.5 deg, I 11; 30.6 deg, I 100; 34.4 deg, I 9; 37.8 deg, I 7; 43.9 deg, I 74; 54.5 deg, I 26; 63.8 deg, I 12; 72.4 deg, I 33

---

Entry 6:
Starting from DFT lattice parameters and positions (GGA-PBE), the XRD peak list of Rb2As3 was computed for copper Kα.

Atomic structure:
Unit cell a=9.3033 b=9.0431 c=6.9371 alpha=69.79 beta=65.81 gamma=44.41
Fractional coordinates of all 10 atoms:
Rb1 0.2384 0.7616 0.2384
Rb2 0.2500 0.2500 0.2500
Rb3 0.7500 0.7500 0.7500
Rb4 0.7616 0.2384 0.7616
As1 0.1966 0.6471 0.8034
As2 0.3429 0.3429 0.6571
As3 0.3529 0.8034 0.6471
As4 0.6471 0.1966 0.3529
As5 0.6571 0.6571 0.3429
As6 0.8034 0.3529 0.1966

Peak list (10 most intense, 2θ = 10–80°, in order of rising 2θ)
14.0 deg, I 20; 21.5 deg, I 15; 28.3 deg, I 100; 28.8 deg, I 44; 34.9 deg, I 31; 38.7 deg, I 17; 39.9 deg, I 34; 49.0 deg, I 18; 53.1 deg, I 13; 54.0 deg, I 27

---

Entry 7:
Starting from DFT lattice parameters and positions (GGA-PBE), the XRD peak list of Rb3As11 was computed for copper Kα.

Atomic structure:
Unit cell a=11.6510 b=15.1607 c=11.3887 alpha=90.00 beta=90.00 gamma=90.00
Fractional coordinates of all 56 atoms:
Rb1 0.0000 0.2114 0.2500
Rb2 0.0000 0.7886 0.7500
Rb3 0.2351 0.4881 0.0803
Rb4 0.2351 0.5119 0.5803
Rb5 0.2649 0.0119 0.5803
Rb6 0.2649 0.9881 0.0803
Rb7 0.5000 0.2886 0.7500
Rb8 0.5000 0.7114 0.2500
Rb9 0.7351 0.0119 0.9197
Rb10 0.7351 0.9881 0.4197
Rb11 0.7649 0.4881 0.4197
Rb12 0.7649 0.5119 0.9197
As1 0.0000 0.0273 0.7500
As2 0.0000 0.9727 0.2500
As3 0.0210 0.3550 0.5007
As4 0.0210 0.6450 0.0007
As5 0.0777 0.1330 0.8890
As6 0.0777 0.8670 0.3890
As7 0.0824 0.3848 0.8192
As8 0.0824 0.6152 0.3192
As9 0.1005 0.2153 0.5635
As10 0.1005 0.7847 0.0635
As11 0.1810 0.2437 0.7645
As12 0.1810 0.7563 0.2645
As13 0.3190 0.2563 0.2645
As14 0.3190 0.7437 0.7645
As15 0.3995 0.2847 0.0635
As16 0.3995 0.7153 0.5635
As17 0.4176 0.1152 0.3192
As18 0.4176 0.8848 0.8192
As19 0.4223 0.3670 0.3890
As20 0.4223 0.6330 0.8890
As21 0.4790 0.1450 0.0007
As22 0.4790 0.8550 0.5007
As23 0.5000 0.4727 0.2500
As24 0.5000 0.5273 0.7500
As25 0.5210 0.1450 0.4993
As26 0.5210 0.8550 0.9993
As27 0.5777 0.3670 0.1110
As28 0.5777 0.6330 0.6110
As29 0.5824 0.1152 0.1808
As30 0.5824 0.8848 0.6808
As31 0.6005 0.2847 0.4365
As32 0.6005 0.7153 0.9365
As33 0.6810 0.2563 0.2355
As34 0.6810 0.7437 0.7355
As35 0.8190 0.2437 0.7355
As36 0.8190 0.7563 0.2355
As37 0.8995 0.2153 0.9365
As38 0.8995 0.7847 0.4365
As39 0.9176 0.3848 0.6808
As40 0.9176 0.6152 0.1808
As41 0.9223 0.1330 0.6110
As42 0.9223 0.8670 0.1110
As43 0.9790 0.3550 0.9993
As44 0.9790 0.6450 0.4993

Peak list (10 most intense, 2θ = 10–80°, in order of rising 2θ)
12.3 deg, I 100; 15.2 deg, I 29; 20.7 deg, I 21; 24.8 deg, I 37; 24.9 deg, I 28; 28.1 deg, I 36; 28.7 deg, I 24; 29.3 deg, I 29; 30.1 deg, I 27; 30.5 deg, I 23

---

Entry 8:
Starting from DFT lattice parameters and positions (GGA-PBE), the XRD peak list of Rb2As was computed for copper Kα.

Atomic structure:
Unit cell a=6.4139 b=6.4139 c=6.4139 alpha=145.36 beta=131.62 gamma=60.86
Fractional coordinates of all 3 atoms:
Rb1 0.1531 0.1531 0.0000
Rb2 0.8469 0.8469 0.0000
As1 0.5000 0.5000 0.0000

Peak list (10 most intense, 2θ = 10–80°, in order of rising 2θ)
28.9 deg, I 100; 29.6 deg, I 90; 33.8 deg, I 63; 34.1 deg, I 32; 47.6 deg, I 12; 48.8 deg, I 43; 57.1 deg, I 27; 57.9 deg, I 14; 58.3 deg, I 35; 59.9 deg, I 12

---

Entry 9:
Starting from DFT lattice parameters and positions (GGA-PBE), the XRD peak list of Rb2As2S5 was computed for copper Kα.

Atomic structure:
Unit cell a=7.1842 b=7.1842 c=8.1594 alpha=102.47 beta=102.47 gamma=42.05
Fractional coordinates of all 9 atoms:
Rb1 0.0913 0.0913 0.3263
Rb2 0.9087 0.9087 0.6737
As1 0.3435 0.3435 0.1024
As2 0.6565 0.6565 0.8976
S1 0.1729 0.1729 0.9668
S2 0.3630 0.3630 0.3716
S3 0.5000 0.5000 0.0000
S4 0.6370 0.6370 0.6284
S5 0.8271 0.8271 0.0332

Peak list (10 most intense, 2θ = 10–80°, in order of rising 2θ)
11.1 deg, I 30; 22.5 deg, I 100; 23.4 deg, I 41; 27.0 deg, I 19; 27.2 deg, I 26; 27.3 deg, I 27; 30.9 deg, I 21; 31.9 deg, I 24; 34.8 deg, I 45; 37.4 deg, I 18

---

Entry 10:
Starting from DFT lattice parameters and positions (GGA-PBE), the XRD peak list of Rb3AsS4 was computed for copper Kα.

Atomic structure:
Unit cell a=9.5691 b=11.1771 c=9.8153 alpha=90.00 beta=90.00 gamma=90.00
Fractional coordinates of all 32 atoms:
Rb1 0.0539 0.0440 0.2020
Rb2 0.0539 0.4560 0.2020
Rb3 0.1427 0.7500 0.4221
Rb4 0.3573 0.2500 0.9221
Rb5 0.4461 0.5440 0.7020
Rb6 0.4461 0.9560 0.7020
Rb7 0.5539 0.0440 0.2980
Rb8 0.5539 0.4560 0.2980
Rb9 0.6427 0.7500 0.0779
Rb10 0.8573 0.2500 0.5779
Rb11 0.9461 0.5440 0.7980
Rb12 0.9461 0.9560 0.7980
As1 0.2251 0.7500 0.9808
As2 0.2749 0.2500 0.4808
As3 0.7251 0.7500 0.5192
As4 0.7749 0.2500 0.0192
S1 0.0195 0.7500 0.0826
S2 0.1607 0.0871 0.5372
S3 0.1607 0.4129 0.5372
S4 0.1955 0.7500 0.7586
S5 0.3045 0.2500 0.2586
S6 0.3393 0.5871 0.0372
S7 0.3393 0.9129 0.0372
S8 0.4805 0.2500 0.5826
S9 0.5195 0.7500 0.4174
S10 0.6607 0.0871 0.9628
S11 0.6607 0.4129 0.9628
S12 0.6955 0.7500 0.7414
S13 0.8045 0.2500 0.2414
S14 0.8393 0.5871 0.4628
S15 0.8393 0.9129 0.4628
S16 0.9805 0.2500 0.9174

Peak list (10 most intense, 2θ = 10–80°, in order of rising 2θ)
20.7 deg, I 39; 24.1 deg, I 93; 24.5 deg, I 78; 25.9 deg, I 51; 26.0 deg, I 60; 28.4 deg, I 49; 30.4 deg, I 100; 31.8 deg, I 47; 32.0 deg, I 41; 37.0 deg, I 48

---

Entry 11:
Starting from DFT lattice parameters and positions (GGA-PBE), the XRD peak list of Rb5As2S6 was computed for copper Kα.

Atomic structure:
Unit cell a=4.9898 b=12.8405 c=14.5160 alpha=90.00 beta=105.10 gamma=90.00
Fractional coordinates of all 26 atoms:
Rb1 0.0000 0.0000 0.0000
Rb2 0.0000 0.5000 0.5000
Rb3 0.0313 0.0710 0.2709
Rb4 0.0313 0.4290 0.7709
Rb5 0.1989 0.6822 0.9903
Rb6 0.1989 0.8178 0.4903
Rb7 0.8011 0.1822 0.5097
Rb8 0.8011 0.3178 0.0097
Rb9 0.9687 0.5710 0.2291
Rb10 0.9687 0.9290 0.7291
As1 0.4620 0.1841 0.7205
As2 0.4620 0.3159 0.2205
As3 0.5380 0.6841 0.7795
As4 0.5380 0.8159 0.2795
S1 0.0906 0.6759 0.6928
S2 0.0906 0.8241 0.1928
S3 0.3854 0.0529 0.6149
S4 0.3854 0.4471 0.1149
S5 0.4268 0.1719 0.1276
S6 0.4268 0.3281 0.6276
S7 0.5732 0.6719 0.3724
S8 0.5732 0.8281 0.8724
S9 0.6146 0.5529 0.8851
S10 0.6146 0.9471 0.3851
S11 0.9094 0.1759 0.8072
S12 0.9094 0.3241 0.3072

Peak list (10 most intense, 2θ = 10–80°, in order of rising 2θ)
23.1 deg, I 36; 25.2 deg, I 47; 25.4 deg, I 46; 26.0 deg, I 64; 26.7 deg, I 75; 28.2 deg, I 100; 28.5 deg, I 43; 30.7 deg, I 43; 33.2 deg, I 35; 33.9 deg, I 40

---

Entry 12:
Starting from DFT lattice parameters and positions (GGA-PBE), the XRD peak list of Rb4AsS4 was computed for copper Kα.

Atomic structure:
Unit cell a=8.6772 b=8.6772 c=8.6772 alpha=126.62 beta=126.62 gamma=78.88
Fractional coordinates of all 9 atoms:
Rb1 0.0000 0.5000 0.5000
Rb2 0.2055 0.2055 0.0000
Rb3 0.5000 0.0000 0.5000
Rb4 0.7945 0.7945 0.0000
As1 0.5000 0.5000 0.0000
S1 0.2235 0.5697 0.0000
S2 0.4303 0.4303 0.6538
S3 0.5697 0.2235 0.0000
S4 0.7765 0.7765 0.3462

Peak list (10 most intense, 2θ = 10–80°, in order of rising 2θ)
13.2 deg, I 49; 20.9 deg, I 93; 22.8 deg, I 67; 22.9 deg, I 37; 32.5 deg, I 100; 35.3 deg, I 63; 38.9 deg, I 36; 42.5 deg, I 20; 46.6 deg, I 22; 52.5 deg, I 35